[1]
For Sm4PtBr5, a DFT-relaxed cell (PBE, OQMD) gives the calculated powder XRD pattern in this record (λ = 1.5418 Å (Cu Kα)).
Intensities are scaled so that the largest is 100.

Atomic structure:
```
Sm4PtBr5
1.0
9.471 -2.054 0.000
9.471 2.054 0.000
-1.994 0.000 8.470
Sm Pt Br
4 1 5
direct
0.001 0.001 0.221
0.348 0.348 0.917
0.652 0.652 0.083
0.999 0.999 0.779
0.500 0.500 0.000
0.168 0.168 0.334
0.175 0.175 0.844
0.500 0.500 0.500
0.825 0.825 0.156
0.832 0.832 0.666
```

Principal peaks in the range 2θ from 10° to 80°, in order of falling intensity:
2theta, I/Imax
29.91, 100
10.44, 75
42.19, 71
29.06, 51
53.68, 22
44.10, 20

[2]
For TePtBr8, a DFT-relaxed cell (PBE, OQMD) gives the calculated powder XRD pattern in this record (λ = 1.5418 Å (Cu Kα)).
Intensities are scaled so that the largest is 100.

Atomic structure:
```
TePtBr8
1.0
7.682 0.000 0.000
1.012 9.319 0.000
3.571 -0.043 9.701
Te Pt Br
2 2 16
direct
0.132 0.254 0.222
0.868 0.746 0.778
0.487 0.889 0.191
0.513 0.111 0.809
0.111 0.811 0.548
0.112 0.695 0.896
0.151 0.509 0.293
0.212 0.948 0.125
0.261 0.188 0.727
0.400 0.429 0.591
0.422 0.109 0.329
0.435 0.324 0.958
0.565 0.676 0.042
0.578 0.891 0.671
0.600 0.571 0.409
0.739 0.812 0.273
0.788 0.052 0.875
0.849 0.491 0.707
0.888 0.305 0.104
0.889 0.189 0.452
```

Principal peaks in the range 2θ from 10° to 80°, in order of falling intensity:
2theta, I/Imax
26.74, 100
27.96, 87
15.01, 77
30.25, 55
14.79, 48
38.36, 37

[3]
For Te6PtBr2, a DFT-relaxed cell (PBE, OQMD) gives the calculated powder XRD pattern in this record (λ = 1.5418 Å (Cu Kα)).
Intensities are scaled so that the largest is 100.

Atomic structure:
```
Te6PtBr2
1.0
4.886 0.000 0.000
0.844 8.545 0.000
1.422 3.646 8.051
Te Pt Br
6 1 2
direct
0.049 0.014 0.273
0.170 0.716 0.981
0.194 0.256 0.755
0.806 0.744 0.245
0.830 0.284 0.019
0.951 0.986 0.727
0.000 0.500 0.500
0.330 0.387 0.328
0.670 0.613 0.672
```

Principal peaks in the range 2θ from 10° to 80°, in order of falling intensity:
2theta, I/Imax
26.39, 100
18.40, 82
29.66, 75
33.03, 65
12.12, 46
20.49, 44